(1)
# Tm3Ag4Hg4
Simulated X-ray powder pattern, Cu Kα, 1.54184 Å. Input: a crystal structure in Alexandria, relaxed with PBE.
No peak broadening, texture or thermal motion is included.

Most intense lines, 2θ = 5–70°, low angle first:
33.20°, I 254; 34.05°, I 526; 34.80°, I 871; 37.02°, I 547; 37.64°, I 1000; 51.18°, I 330; 68.39°, I 256; 68.81°, I 340

Structural model:
abc: 15.383 15.383 15.383
angles: 167.60 161.84 22.06
Fractional coordinates of all 11 atoms:
1 Tm 0.000 0.000 0.000
2 Tm 0.361 0.861 0.500
3 Tm 0.639 0.139 0.500
4 Ag 0.092 0.592 0.500
5 Ag 0.266 0.266 0.000
6 Ag 0.734 0.734 0.000
7 Ag 0.908 0.408 0.500
8 Hg 0.184 0.684 0.500
9 Hg 0.452 0.452 0.000
10 Hg 0.548 0.548 0.000
11 Hg 0.816 0.316 0.500

---

(2)
# Tm3AgHg5
Simulated X-ray powder pattern, Cu Kα, 1.54184 Å. Input: a crystal structure in Alexandria, relaxed with PBE.
No peak broadening, texture or thermal motion is included.

Most intense lines, 2θ = 5–70°, low angle first:
28.96°, I 77; 35.04°, I 1000; 35.45°, I 876; 46.07°, I 114; 50.70°, I 308; 60.01°, I 76; 62.85°, I 176; 63.12°, I 304

Structural model:
abc: 8.872 8.872 6.167
angles: 90.00 90.00 120.00
Fractional coordinates of all 18 atoms:
1 Tm 0.000 0.349 0.250
2 Tm 0.000 0.651 0.750
3 Tm 0.349 0.000 0.250
4 Tm 0.349 0.349 0.750
5 Tm 0.651 0.000 0.750
6 Tm 0.651 0.651 0.250
7 Ag 0.000 0.000 0.000
8 Ag 0.000 0.000 0.500
9 Hg 0.000 0.312 0.750
10 Hg 0.000 0.688 0.250
11 Hg 0.312 0.000 0.750
12 Hg 0.312 0.312 0.250
13 Hg 0.333 0.667 0.000
14 Hg 0.333 0.667 0.500
15 Hg 0.667 0.333 0.000
16 Hg 0.667 0.333 0.500
17 Hg 0.688 0.000 0.250
18 Hg 0.688 0.688 0.750

---

(3)
# Tm4Ag2Hg
Simulated X-ray powder pattern, Cu Kα, 1.54184 Å. Input: a crystal structure in Alexandria, relaxed with PBE.
No peak broadening, texture or thermal motion is included.

Most intense lines, 2θ = 5–70°, low angle first:
10.84°, I 118; 24.97°, I 119; 35.43°, I 1000; 35.76°, I 951; 51.23°, I 341; 63.61°, I 182; 63.83°, I 351; 64.47°, I 157

Structural model:
abc: 8.672 8.672 8.672
angles: 33.97 33.97 33.97
Fractional coordinates of all 7 atoms:
1 Tm 0.120 0.120 0.120
2 Tm 0.372 0.372 0.372
3 Tm 0.628 0.628 0.628
4 Tm 0.880 0.880 0.880
5 Ag 0.250 0.250 0.250
6 Ag 0.750 0.750 0.750
7 Hg 0.500 0.500 0.500

---

(4)
# TmAg2Hg
Simulated X-ray powder pattern, Cu Kα, 1.54184 Å. Input: a crystal structure in Alexandria, relaxed with PBE.
No peak broadening, texture or thermal motion is included.

Most intense lines, 2θ = 5–70°, low angle first:
22.43°, I 92; 35.58°, I 1000; 39.81°, I 366; 44.20°, I 136; 57.56°, I 123; 60.97°, I 103; 69.50°, I 209; 69.63°, I 69

Structural model:
abc: 5.195 5.195 4.528
angles: 115.66 115.66 51.69
Fractional coordinates of all 4 atoms:
1 Tm 0.000 0.000 0.000
2 Ag 0.250 0.250 0.749
3 Ag 0.500 0.500 0.500
4 Hg 0.750 0.750 0.252

---

(5)
# Tm6AgHg5
Simulated X-ray powder pattern, Cu Kα, 1.54184 Å. Input: a crystal structure in Alexandria, relaxed with PBE.
No peak broadening, texture or thermal motion is included.

Most intense lines, 2θ = 5–70°, low angle first:
34.65°, I 1000; 34.81°, I 198; 49.67°, I 73; 49.95°, I 144; 62.03°, I 150; 62.13°, I 149; 62.31°, I 149

Structural model:
abc: 8.178 8.178 7.342
angles: 90.00 90.00 143.26
Fractional coordinates of all 12 atoms:
1 Tm 0.000 0.000 0.248
2 Tm 0.000 0.000 0.752
3 Tm 0.334 0.666 0.248
4 Tm 0.334 0.666 0.752
5 Tm 0.666 0.334 0.248
6 Tm 0.666 0.334 0.752
7 Ag 0.500 0.500 0.000
8 Hg 0.164 0.836 0.000
9 Hg 0.167 0.833 0.500
10 Hg 0.500 0.500 0.500
11 Hg 0.833 0.167 0.500
12 Hg 0.836 0.164 0.000

---

(6)
# TmAg2Hg2
Simulated X-ray powder pattern, Cu Kα, 1.54184 Å. Input: a crystal structure in Alexandria, relaxed with PBE.
No peak broadening, texture or thermal motion is included.

Most intense lines, 2θ = 5–70°, low angle first:
33.78°, I 357; 34.98°, I 708; 37.70°, I 1000; 37.90°, I 908; 38.18°, I 591; 49.42°, I 244; 64.54°, I 206; 64.68°, I 188

Structural model:
abc: 5.308 5.130 8.209
angles: 90.00 108.42 90.00
Fractional coordinates of all 10 atoms:
1 Tm 0.210 0.250 0.299
2 Tm 0.790 0.750 0.701
3 Ag 0.389 0.750 0.908
4 Ag 0.419 0.250 0.705
5 Ag 0.581 0.750 0.295
6 Ag 0.611 0.250 0.092
7 Hg 0.028 0.250 0.899
8 Hg 0.200 0.750 0.510
9 Hg 0.800 0.250 0.490
10 Hg 0.972 0.750 0.101

---

(7)
# TmAg6Hg
Simulated X-ray powder pattern, Cu Kα, 1.54184 Å. Input: a crystal structure in Alexandria, relaxed with PBE.
No peak broadening, texture or thermal motion is included.

Most intense lines, 2θ = 5–70°, low angle first:
11.27°, I 744; 20.06°, I 286; 23.98°, I 663; 35.82°, I 598; 37.86°, I 628; 38.45°, I 1000; 39.95°, I 697; 42.80°, I 284

Structural model:
abc: 8.474 8.474 8.474
angles: 37.99 37.99 37.99
Fractional coordinates of all 8 atoms:
1 Tm 0.000 0.000 0.000
2 Ag 0.064 0.064 0.560
3 Ag 0.064 0.560 0.064
4 Ag 0.440 0.936 0.936
5 Ag 0.560 0.064 0.064
6 Ag 0.936 0.440 0.936
7 Ag 0.936 0.936 0.440
8 Hg 0.500 0.500 0.500

---

(8)
# Tm3AgHg6
Simulated X-ray powder pattern, Cu Kα, 1.54184 Å. Input: a crystal structure in Alexandria, relaxed with PBE.
No peak broadening, texture or thermal motion is included.

Most intense lines, 2θ = 5–70°, low angle first:
25.88°, I 292; 31.45°, I 177; 34.15°, I 1000; 34.97°, I 383; 35.35°, I 346; 36.13°, I 168; 38.31°, I 252; 44.31°, I 238

Structural model:
abc: 7.134 7.134 5.892
angles: 104.91 104.91 111.06
Fractional coordinates of all 10 atoms:
1 Tm 0.000 0.000 0.000
2 Tm 0.487 0.992 0.485
3 Tm 0.992 0.487 0.485
4 Ag 0.447 0.447 0.449
5 Hg 0.171 0.171 0.613
6 Hg 0.186 0.509 0.063
7 Hg 0.494 0.772 0.886
8 Hg 0.509 0.186 0.063
9 Hg 0.772 0.494 0.886
10 Hg 0.781 0.781 0.379

---

Question: What is the formula in the eighth record?
Answer: Tm3AgHg6